Simulated X-ray diffraction stick pattern of Ce4MgHg5 for λ = 1.5418 Å (Cu Kα), from a PBE-relaxed structure.
Lines closer than 0.1° are merged.

Most intense lines, 15 to 90 degrees two-theta, by angle:
Position (°2θ)	d/Å	I (rel.)	h k l
30.79	2.904	11.4	1 0 4
33.30	2.691	100.0	1 0 5
36.81	2.442	44.2	1 1 0
53.04	1.727	15.6	2 0 0
53.73	1.706	9.6	1 1 9
57.14	1.612	13.7	1 1 10
64.08	1.453	31.3	2 1 5
66.77	1.401	10.1	1 0 14

Atomic structure:
```
data_Ce4MgHg5
_chemical_formula_sum 'Ce4 Mg1 Hg5'
_symmetry_space_group_name_H-M 'P 4/m m m'
_symmetry_Int_Tables_number 123
_symmetry_space_group_name_Hall '-P 4 2'
_cell_length_a 3.4533
_cell_length_b 3.4533
_cell_length_c 21.4593
_cell_angle_alpha 90.00
_cell_angle_beta 90.00
_cell_angle_gamma 90.00
loop_
_atom_site_label
_atom_site_type_symbol
_atom_site_fract_x
_atom_site_fract_y
_atom_site_fract_z
Ce1 Ce 0.0000 0.0000 0.1047
Ce2 Ce 0.0000 0.0000 0.3143
Mg1 Mg 0.0000 0.0000 0.5000
Hg1 Hg 0.5000 0.5000 0.0000
Hg2 Hg 0.5000 0.5000 0.2098
Hg3 Hg 0.5000 0.5000 0.4176
```